# 1
Starting from a DFT-relaxed cell (PBE, the Materials Project), the powder diffraction line list of Y7Pt3 was computed for Cu Kα X-rays.
Peak positions follow from Bragg's law for the DFT cell and can differ from measured ones.

Atomic structure:
```
data_Y7Pt3
_symmetry_space_group_name_H-M 'C m c 21'
_symmetry_Int_Tables_number 36
_cell_length_a 9.961
_cell_length_b 17.215
_cell_length_c 6.309
_cell_angle_alpha 90.00
_cell_angle_beta 90.00
_cell_angle_gamma 90.00
loop_
_symmetry_equiv_pos_as_xyz
'x,y,z'
'-x,-y,z+1/2'
'-x,y,z'
'x,-y,z+1/2'
'x+1/2,y+1/2,z'
'-x+1/2,-y+1/2,z+1/2'
'-x+1/2,y+1/2,z'
'x+1/2,-y+1/2,z+1/2'
loop_
_atom_site_label
_atom_site_type_symbol
_atom_site_fract_x
_atom_site_fract_y
_atom_site_fract_z
Y1 Y 0.000 0.039 0.000
Y2 Y 0.000 0.167 0.492
Y3 Y 0.000 0.372 0.688
Y4 Y 0.192 0.231 0.000
Y5 Y 0.192 0.436 0.187
Pt1 Pt 0.000 0.311 0.258
Pt2 Pt 0.216 0.095 0.258
```

Peak list (10 most intense, 2θ from 10° to 80°, sorted by position)
index, d_spacing, 2θ/deg, Rel. int.
0 2 1, 5.090, 17.42, 70
2 2 1, 3.558, 25.03, 63
1 1 2, 2.962, 30.17, 33
1 5 1, 2.894, 30.90, 76
3 3 0, 2.872, 31.14, 35
0 6 1, 2.614, 34.30, 100
2 2 2, 2.545, 35.26, 87
4 0 0, 2.488, 36.11, 91
2 4 2, 2.266, 39.78, 52
0 4 3, 1.889, 48.16, 50

---

# 2
Starting from a DFT-relaxed cell (PBE, the Materials Project), the powder diffraction line list of ZnPt was computed for Cu Kα X-rays.
Peak positions follow from Bragg's law for the DFT cell and can differ from measured ones.

Atomic structure:
```
data_ZnPt
_symmetry_space_group_name_H-M 'P 4/m m m'
_symmetry_Int_Tables_number 123
_symmetry_space_group_name_Hall '-P 4 2'
_cell_length_a 2.876
_cell_length_b 2.876
_cell_length_c 3.547
_cell_angle_alpha 90.00
_cell_angle_beta 90.00
_cell_angle_gamma 90.00
loop_
_atom_site_label
_atom_site_type_symbol
_atom_site_fract_x
_atom_site_fract_y
_atom_site_fract_z
Zn1 Zn 0.000 0.000 0.000
Pt1 Pt 0.500 0.500 0.500
```

Peak list (10 most intense, 2θ from 10° to 80°, sorted by position)
index, d_spacing, 2θ/deg, Rel. int.
0 0 1, 3.547, 25.11, 18
1 0 0, 2.876, 31.09, 21
1 0 1, 2.234, 40.37, 100
1 1 0, 2.034, 44.55, 38
0 0 2, 1.773, 51.53, 12
1 1 1, 1.764, 51.82, 11
1 0 2, 1.510, 61.42, 7
2 0 0, 1.438, 64.83, 12
1 1 2, 1.337, 70.45, 19
2 1 1, 1.209, 79.22, 28

---

# 3
Starting from a DFT-relaxed cell (PBE, the Materials Project), the powder diffraction line list of Zn12Pt7 was computed for Cu Kα X-rays.
Peak positions follow from Bragg's law for the DFT cell and can differ from measured ones.

Atomic structure:
```
data_Zn12Pt7
_symmetry_space_group_name_H-M 'P b a m'
_symmetry_Int_Tables_number 55
_cell_length_a 7.029
_cell_length_b 29.336
_cell_length_c 2.801
_cell_angle_alpha 90.00
_cell_angle_beta 90.00
_cell_angle_gamma 90.00
loop_
_symmetry_equiv_pos_as_xyz
'x,y,z'
'-x,-y,-z'
'-x,-y,z'
'x,y,-z'
'x+1/2,-y+1/2,-z'
'-x+1/2,y+1/2,z'
'-x+1/2,y+1/2,-z'
'x+1/2,-y+1/2,z'
loop_
_atom_site_label
_atom_site_type_symbol
_atom_site_fract_x
_atom_site_fract_y
_atom_site_fract_z
Zn1 Zn 0.124 0.071 0.000
Zn2 Zn 0.129 0.643 0.000
Zn3 Zn 0.137 0.216 0.000
Zn4 Zn 0.183 0.492 0.000
Zn5 Zn 0.231 0.802 0.000
Zn6 Zn 0.249 0.400 0.000
Pt1 Pt 0.000 0.000 0.500
Pt2 Pt 0.007 0.144 0.500
Pt3 Pt 0.037 0.567 0.500
Pt4 Pt 0.041 0.719 0.500
```

Peak list (10 most intense, 2θ from 10° to 80°, sorted by position)
index, d_spacing, 2θ/deg, Rel. int.
1 7 0, 3.600, 24.73, 59
2 0 0, 3.514, 25.34, 22
3 2 0, 2.311, 38.97, 22
1 7 1, 2.211, 40.82, 100
2 0 1, 2.191, 41.21, 48
0 14 0, 2.095, 43.17, 23
3 7 0, 2.045, 44.29, 38
2 14 0, 1.800, 50.72, 14
2 14 1, 1.514, 61.21, 16
1 21 1, 1.231, 77.56, 13

---

# 4
Starting from a DFT-relaxed cell (PBE, the Materials Project), the powder diffraction line list of ZnPt3 was computed for Cu Kα X-rays.
Peak positions follow from Bragg's law for the DFT cell and can differ from measured ones.

Atomic structure:
```
data_ZnPt3
_symmetry_space_group_name_H-M 'P m -3 m'
_symmetry_Int_Tables_number 221
_symmetry_space_group_name_Hall '-P 4 2 3'
_cell_length_a 3.936
_cell_length_b 3.936
_cell_length_c 3.936
_cell_angle_alpha 90.00
_cell_angle_beta 90.00
_cell_angle_gamma 90.00
loop_
_atom_site_label
_atom_site_type_symbol
_atom_site_fract_x
_atom_site_fract_y
_atom_site_fract_z
Zn1 Zn 0.000 0.000 0.000
Pt1 Pt 0.000 0.500 0.500
```

Peak list (9 most intense, 2θ from 10° to 80°, sorted by position)
index, d_spacing, 2θ/deg, Rel. int.
1 0 0, 3.936, 22.59, 11
1 1 0, 2.783, 32.16, 9
1 1 1, 2.273, 39.66, 100
2 0 0, 1.968, 46.12, 49
2 1 0, 1.760, 51.94, 5
2 1 1, 1.607, 57.34, 4
2 2 0, 1.392, 67.28, 32
3 0 0, 1.312, 71.97, 2
3 1 0, 1.245, 76.54, 2

---

# 5
Starting from a DFT-relaxed cell (PBE, the Materials Project), the powder diffraction line list of Zr2Pt was computed for Cu Kα X-rays.
Peak positions follow from Bragg's law for the DFT cell and can differ from measured ones.

Atomic structure:
a b c (Å): 12.630 12.630 12.630
angles (deg): 90.00 90.00 90.00
Space group Fd-3m (No. 227, origin choice 2)
One atom of each set of equivalent atoms:
Zr: 0.000 0.000 0.000 [16 per cell]
Zr: 0.063 0.375 0.875 [48 per cell]
Pt: 0.030 0.030 0.220 [32 per cell]

Peak list (10 most intense, 2θ from 10° to 80°, sorted by position)
index, d_spacing, 2θ/deg, Rel. int.
1 1 1, 7.292, 12.14, 15
2 2 2, 3.646, 24.41, 25
4 2 2, 2.578, 34.80, 19
3 3 3, 2.431, 36.98, 100
4 4 0, 2.233, 40.40, 34
4 4 2, 2.105, 42.97, 11
7 3 1, 1.644, 55.92, 14
6 6 0, 1.488, 62.39, 24
8 4 2, 1.378, 68.04, 12
9 3 3, 1.269, 74.80, 14

---

# 6
Starting from a DFT-relaxed cell (PBE, the Materials Project), the powder diffraction line list of ZrPt8 was computed for Cu Kα X-rays.
Peak positions follow from Bragg's law for the DFT cell and can differ from measured ones.

Atomic structure:
```
data_ZrPt8
_symmetry_space_group_name_H-M 'I 4/m m m'
_symmetry_Int_Tables_number 139
_symmetry_space_group_name_Hall '-I 4 2'
_cell_length_a 8.499
_cell_length_b 8.499
_cell_length_c 4.026
_cell_angle_alpha 90.00
_cell_angle_beta 90.00
_cell_angle_gamma 90.00
loop_
_atom_site_label
_atom_site_type_symbol
_atom_site_fract_x
_atom_site_fract_y
_atom_site_fract_z
Zr1 Zr 0.000 0.000 0.000
Pt1 Pt 0.000 0.333 0.000
Pt2 Pt 0.165 0.165 0.500
```

Peak list (10 most intense, 2θ from 10° to 80°, sorted by position)
index, d_spacing, 2θ/deg, Rel. int.
1 1 0, 6.010, 14.74, 2
1 0 1, 3.639, 24.46, 1
2 1 1, 2.764, 32.39, 1
3 0 1, 2.317, 38.87, 100
0 0 2, 2.013, 45.03, 17
3 3 0, 2.003, 45.27, 33
3 3 2, 1.420, 65.76, 22
6 0 0, 1.416, 65.95, 11
3 0 3, 1.213, 78.93, 13
6 3 1, 1.209, 79.27, 26